Calculated powder diffractogram
Compound: EuTaO4
Radiation: copper Kα
Structure: a crystal structure in the Materials Project, relaxed with GGA-PBE
Lines closer than 0.1° are merged.

Structural model:
```
data_EuTaO4
_symmetry_space_group_name_H-M 'P 1'
_symmetry_Int_Tables_number 1
_cell_length_a 6.6742
_cell_length_b 6.6742
_cell_length_c 5.1487
_cell_angle_alpha 110.07
_cell_angle_beta 110.07
_cell_angle_gamma 115.10
loop_
_symmetry_equiv_pos_as_xyz
'x,y,z'
loop_
_atom_site_label
_atom_site_fract_x
_atom_site_fract_y
_atom_site_fract_z
Eu1 0.1334 0.8666 0.7500
Eu2 0.8666 0.1334 0.2500
Ta1 0.4025 0.5975 0.2500
Ta2 0.5975 0.4025 0.7500
O1 0.1408 0.5556 0.3377
O2 0.2356 0.2961 0.7942
O3 0.2961 0.2356 0.2942
O4 0.4444 0.8592 0.1623
O5 0.5556 0.1408 0.8377
O6 0.7039 0.7644 0.7058
O7 0.7644 0.7039 0.2058
O8 0.8592 0.4444 0.6623
```

Peak list (10 most intense, 2θ from 10° to 90°, low angle first)
2θ (°)  I_rel
27.5  100
29.6  81
31.8  20
32.5  26
35.0  18
45.8  19
46.1  23
48.0  22
53.8  17
57.2  13